# 1
Simulated PXRD pattern
Compound: Np2Se3
Radiation: copper Kα
Structure: DFT lattice parameters and positions (GGA-PBE)
Lines closer than 0.1° are merged.

```
Np2Se3
1.0
-4.3313 4.3313 12.9762
4.3313 -4.3313 12.9762
4.3313 4.3313 -12.9762
Np Se
16 24
Direct
0.0421 0.1597 0.6207
0.1674 0.1674 0.0000
0.1713 0.7890 0.8793
0.2110 0.0903 0.3824
0.2572 0.6250 0.1322
0.3750 0.5072 0.6322
0.4928 0.1250 0.8678
0.5390 0.4213 0.3793
0.5787 0.9579 0.1176
0.5826 0.0826 0.5000
0.7079 0.8287 0.6176
0.8326 0.8326 0.0000
0.8403 0.4610 0.8824
0.8750 0.7428 0.3678
0.9097 0.2921 0.1207
0.9174 0.4174 0.5000
0.0084 0.7591 0.9021
0.0718 0.4704 0.2460
0.1743 0.9282 0.3986
0.1874 0.4384 0.5938
0.1884 0.4374 0.0938
0.2204 0.3218 0.7460
0.2244 0.8257 0.7540
0.2409 0.1430 0.2493
0.3436 0.0946 0.9062
0.4064 0.8126 0.2509
0.5091 0.2584 0.4021
0.5256 0.7796 0.1014
0.5296 0.7756 0.6014
0.5616 0.1554 0.7491
0.5626 0.6564 0.7509
0.5757 0.4744 0.2540
0.6782 0.4243 0.8986
0.7416 0.1437 0.2507
0.8446 0.5936 0.4062
0.8563 0.1070 0.5979
0.8570 0.1063 0.0979
0.8930 0.4909 0.7493
0.8937 0.9916 0.7507
0.9054 0.8116 0.2491
```

Largest 6 diffraction maxima, sorted by position, 2θ = 10–80°:
| 2θ/deg | d [Å] | Rel. int. |
| --- | --- | --- |
| 25.2 | 3.535 | 56 |
| 32.7 | 2.738 | 100 |
| 38.9 | 2.314 | 68 |
| 46.9 | 1.936 | 32 |
| 54.0 | 1.698 | 23 |
| 66.6 | 1.405 | 35 |

---

# 2
Simulated PXRD pattern
Compound: Dy5Pt3
Radiation: copper Kα
Structure: DFT lattice parameters and positions (GGA-PBE)
Lines closer than 0.1° are merged.

```
Dy5Pt3
1.0
8.4663 0.0000 0.0000
-4.2331 7.3320 0.0000
0.0000 0.0000 6.1968
Dy Pt
10 6
Direct
0.0000 0.2466 0.2500
0.0000 0.7534 0.7500
0.2466 0.0000 0.2500
0.2466 0.2466 0.7500
0.3333 0.6667 0.0000
0.3333 0.6667 0.5000
0.6667 0.3333 0.0000
0.6667 0.3333 0.5000
0.7534 0.0000 0.7500
0.7534 0.7534 0.2500
0.0000 0.3941 0.7500
0.0000 0.6059 0.2500
0.3941 0.0000 0.7500
0.3941 0.3941 0.2500
0.6059 0.0000 0.2500
0.6059 0.6059 0.7500
```

Largest 6 diffraction maxima, sorted by position, 2θ = 10–80°:
| 2θ/deg | d [Å] | Rel. int. |
| --- | --- | --- |
| 28.8 | 3.098 | 24 |
| 32.3 | 2.771 | 25 |
| 35.5 | 2.530 | 100 |
| 35.9 | 2.500 | 80 |
| 36.8 | 2.444 | 46 |
| 55.5 | 1.656 | 28 |

---

# 3
Simulated PXRD pattern
Compound: LaMgI5
Radiation: copper Kα
Structure: DFT lattice parameters and positions (GGA-PBE)
Lines closer than 0.1° are merged.

```
LaMgI5
1.0
6.0677 -5.5120 0.0000
6.0677 5.5120 0.0000
-5.9718 0.0000 10.5160
La Mg I
2 2 10
Direct
0.2494 0.7506 0.5000
0.7506 0.2494 0.0000
0.0972 0.3944 0.7499
0.3944 0.0972 0.2499
0.0288 0.0956 0.5374
0.0591 0.6673 0.6611
0.0956 0.0288 0.0374
0.3932 0.4496 0.9633
0.4482 0.8240 0.3401
0.4496 0.3932 0.4633
0.5801 0.9239 0.7476
0.6673 0.0591 0.1611
0.8240 0.4482 0.8401
0.9239 0.5801 0.2476
```

Largest 6 diffraction maxima, sorted by position, 2θ = 10–80°:
| 2θ/deg | d [Å] | Rel. int. |
| --- | --- | --- |
| 16.6 | 5.334 | 84 |
| 16.9 | 5.237 | 73 |
| 23.7 | 3.747 | 85 |
| 25.7 | 3.469 | 100 |
| 26.8 | 3.327 | 62 |
| 29.3 | 3.047 | 62 |

---

# 4
Simulated PXRD pattern
Compound: In3Pt
Radiation: copper Kα
Structure: DFT lattice parameters and positions (GGA-PBE)
Lines closer than 0.1° are merged.

```
In3Pt
1.0
4.3801 0.0000 0.0000
0.0000 4.3801 0.0000
0.0000 0.0000 9.0523
In Pt
6 2
Direct
0.0000 0.0000 0.0000
0.0000 0.5000 0.2500
0.0000 0.5000 0.7500
0.5000 0.0000 0.2500
0.5000 0.0000 0.7500
0.5000 0.5000 0.5000
0.0000 0.0000 0.5000
0.5000 0.5000 0.0000
```

Largest 6 diffraction maxima, sorted by position, 2θ = 10–80°:
| 2θ/deg | d [Å] | Rel. int. |
| --- | --- | --- |
| 35.1 | 2.556 | 100 |
| 39.8 | 2.263 | 18 |
| 41.2 | 2.190 | 32 |
| 58.7 | 1.574 | 22 |
| 69.3 | 1.356 | 13 |
| 71.2 | 1.324 | 25 |

---

# 5
Simulated PXRD pattern
Compound: YHo3
Radiation: copper Kα
Structure: DFT lattice parameters and positions (GGA-PBE)
Lines closer than 0.1° are merged.

```
YHo3
1.0
5.0039 0.0000 0.0000
0.0000 5.0039 0.0000
0.0000 0.0000 10.0256
Y Ho
2 6
Direct
0.0000 0.0000 0.0000
0.5000 0.5000 0.5000
0.0000 0.0000 0.5000
0.0000 0.5000 0.2500
0.0000 0.5000 0.7500
0.5000 0.0000 0.2500
0.5000 0.0000 0.7500
0.5000 0.5000 0.0000
```

Largest 6 diffraction maxima, sorted by position, 2θ = 10–80°:
| 2θ/deg | d [Å] | Rel. int. |
| --- | --- | --- |
| 19.8 | 4.477 | 4 |
| 30.9 | 2.891 | 100 |
| 35.9 | 2.503 | 51 |
| 51.6 | 1.770 | 36 |
| 61.4 | 1.510 | 42 |
| 64.5 | 1.445 | 12 |

---

# 6
Simulated PXRD pattern
Compound: Ba8U2PdSe16
Radiation: copper Kα
Structure: DFT lattice parameters and positions (GGA-PBE)
Lines closer than 0.1° are merged.

```
Ba8U2PdSe16
1.0
9.6210 0.0000 0.0000
0.0000 12.4198 0.0000
0.0000 0.0000 14.0709
Ba U Pd Se
16 4 2 32
Direct
0.1086 0.1616 0.2448
0.1086 0.1616 0.7552
0.2086 0.4137 0.0000
0.2365 0.8424 0.0000
0.2635 0.3424 0.5000
0.2914 0.9137 0.5000
0.3914 0.6616 0.2552
0.3914 0.6616 0.7448
0.6086 0.3384 0.2552
0.6086 0.3384 0.7448
0.7086 0.0863 0.5000
0.7365 0.6576 0.5000
0.7635 0.1576 0.0000
0.7914 0.5863 0.0000
0.8914 0.8384 0.2448
0.8914 0.8384 0.7552
0.0000 0.5000 0.2559
0.0000 0.5000 0.7441
0.5000 0.0000 0.2441
0.5000 0.0000 0.7559
0.0000 0.5000 0.5000
0.5000 0.0000 0.0000
0.0417 0.0921 0.5000
0.0781 0.6496 0.3877
0.0781 0.6496 0.6123
0.0846 0.0734 0.0000
0.0864 0.6488 0.1260
0.0864 0.6488 0.8740
0.2307 0.9084 0.2495
0.2307 0.9084 0.7505
0.2693 0.4084 0.2505
0.2693 0.4084 0.7495
0.4136 0.1488 0.3740
0.4136 0.1488 0.6260
0.4154 0.5734 0.5000
0.4219 0.1496 0.1123
0.4219 0.1496 0.8877
0.4583 0.5921 0.0000
0.5417 0.4079 0.0000
0.5781 0.8504 0.1123
0.5781 0.8504 0.8877
0.5846 0.4266 0.5000
0.5864 0.8512 0.3740
0.5864 0.8512 0.6260
0.7307 0.5916 0.2505
0.7307 0.5916 0.7495
0.7693 0.0916 0.2495
0.7693 0.0916 0.7505
0.9136 0.3512 0.1260
0.9136 0.3512 0.8740
0.9154 0.9266 0.0000
0.9219 0.3504 0.3877
0.9219 0.3504 0.6123
0.9583 0.9079 0.5000
```

Largest 6 diffraction maxima, sorted by position, 2θ = 10–80°:
| 2θ/deg | d [Å] | Rel. int. |
| --- | --- | --- |
| 11.6 | 7.606 | 38 |
| 25.3 | 3.518 | 46 |
| 26.6 | 3.345 | 37 |
| 31.4 | 2.847 | 100 |
| 32.3 | 2.768 | 35 |
| 34.7 | 2.582 | 80 |